# 1
The following is a simulated powder XRD pattern of ErNi7B3. It was derived from a structure optimized by DFT (PBE), using Cu Kα.
Intensities are scaled so that the largest is 100.

Peak list (8 most intense, 2θ from 10° to 90°, most intense first)
- 2θ 46.2, I = 100
- 2θ 40.6, I = 94
- 2θ 39.0, I = 89
- 2θ 42.3, I = 75
- 2θ 47.5, I = 41
- 2θ 46.0, I = 38
- 2θ 73.2, I = 36
- 2θ 20.0, I = 33

Crystal structure
```
data_ErNi7B3
_space_group_name_H-M_alt 'P 1'
_space_group_IT_number 1
_cell_length_a 9.4841
_cell_length_b 9.4841
_cell_length_c 9.4841
_cell_angle_alpha 132.43
_cell_angle_beta 132.43
_cell_angle_gamma 69.54
loop_
_space_group_symop_operation_xyz
'x,y,z'
loop_
_atom_site_label
_atom_site_type_symbol
_atom_site_fract_x
_atom_site_fract_y
_atom_site_fract_z
Er1 Er 0.0910 0.3410 0.7500
Er2 Er 0.3410 0.0910 0.2500
Er3 Er 0.6590 0.9090 0.7500
Er4 Er 0.9090 0.6590 0.2500
Ni1 Ni 0.0000 0.5000 0.5000
Ni2 Ni 0.0194 0.9315 0.0879
Ni3 Ni 0.0685 0.6564 0.0879
Ni4 Ni 0.0685 0.9806 0.4121
Ni5 Ni 0.1879 0.4379 0.3757
Ni6 Ni 0.1879 0.8121 0.7500
Ni7 Ni 0.2320 0.2700 0.5380
Ni8 Ni 0.2320 0.6939 0.9620
Ni9 Ni 0.2700 0.2320 0.0380
Ni10 Ni 0.3061 0.7680 0.5380
Ni11 Ni 0.3436 0.9315 0.4121
Ni12 Ni 0.4379 0.1879 0.8757
Ni13 Ni 0.4379 0.5621 0.2500
Ni14 Ni 0.5000 0.0000 0.0000
Ni15 Ni 0.5000 0.5000 0.0000
Ni16 Ni 0.5000 0.5000 0.5000
Ni17 Ni 0.5621 0.4379 0.7500
Ni18 Ni 0.5621 0.8121 0.1243
Ni19 Ni 0.6564 0.0685 0.5879
Ni20 Ni 0.6939 0.2320 0.4620
Ni21 Ni 0.7300 0.7680 0.9620
Ni22 Ni 0.7680 0.3061 0.0380
Ni23 Ni 0.7680 0.7300 0.4620
Ni24 Ni 0.8121 0.1879 0.2500
Ni25 Ni 0.8121 0.5621 0.6243
Ni26 Ni 0.9315 0.0194 0.5879
Ni27 Ni 0.9315 0.3436 0.9121
Ni28 Ni 0.9806 0.0685 0.9121
B1 B 0.0000 0.2100 0.2100
B2 B 0.0000 0.7900 0.7900
B3 B 0.2100 0.0000 0.7100
B4 B 0.2100 0.5000 0.2100
B5 B 0.3162 0.5662 0.7500
B6 B 0.4338 0.6838 0.7500
B7 B 0.5000 0.2100 0.7100
B8 B 0.5000 0.7900 0.2900
B9 B 0.5662 0.3162 0.2500
B10 B 0.6838 0.4338 0.2500
B11 B 0.7900 0.0000 0.2900
B12 B 0.7900 0.5000 0.7900
```

# 2
The following is a simulated powder XRD pattern of ErNi22B6. It was derived from a structure optimized by DFT (PBE), using Cu Kα.
Intensities are scaled so that the largest is 100.

Peak list (8 most intense, 2θ from 10° to 90°, most intense first)
- 2θ 44.5, I = 100
- 2θ 41.9, I = 35
- 2θ 48.7, I = 23
- 2θ 76.5, I = 22
- 2θ 78.4, I = 15
- 2θ 51.9, I = 14
- 2θ 28.0, I = 11
- 2θ 51.1, I = 10

Crystal structure
```
data_ErNi22B6
_space_group_name_H-M_alt 'P 1'
_space_group_IT_number 1
_cell_length_a 7.4728
_cell_length_b 7.4728
_cell_length_c 7.4728
_cell_angle_alpha 60.00
_cell_angle_beta 60.00
_cell_angle_gamma 60.00
loop_
_space_group_symop_operation_xyz
'x,y,z'
loop_
_atom_site_label
_atom_site_type_symbol
_atom_site_fract_x
_atom_site_fract_y
_atom_site_fract_z
Er1 Er 0.0000 0.0000 0.0000
Ni1 Ni 0.0000 0.0000 0.3450
Ni2 Ni 0.0000 0.0000 0.6550
Ni3 Ni 0.0000 0.3450 0.0000
Ni4 Ni 0.0000 0.3450 0.6550
Ni5 Ni 0.0000 0.6550 0.0000
Ni6 Ni 0.0000 0.6550 0.3450
Ni7 Ni 0.1476 0.6175 0.6175
Ni8 Ni 0.2500 0.2500 0.2500
Ni9 Ni 0.3450 0.0000 0.0000
Ni10 Ni 0.3450 0.0000 0.6550
Ni11 Ni 0.3450 0.6550 0.0000
Ni12 Ni 0.3825 0.3825 0.3825
Ni13 Ni 0.3825 0.3825 0.8524
Ni14 Ni 0.3825 0.8524 0.3825
Ni15 Ni 0.6175 0.1476 0.6175
Ni16 Ni 0.6175 0.6175 0.1476
Ni17 Ni 0.6175 0.6175 0.6175
Ni18 Ni 0.6550 0.0000 0.0000
Ni19 Ni 0.6550 0.0000 0.3450
Ni20 Ni 0.6550 0.3450 0.0000
Ni21 Ni 0.7500 0.7500 0.7500
Ni22 Ni 0.8524 0.3825 0.3825
B1 B 0.2713 0.2713 0.7287
B2 B 0.2713 0.7287 0.2713
B3 B 0.2713 0.7287 0.7287
B4 B 0.7287 0.2713 0.2713
B5 B 0.7287 0.2713 0.7287
B6 B 0.7287 0.7287 0.2713
```

# 3
The following is a simulated powder XRD pattern of Er2NiB10. It was derived from a structure optimized by DFT (PBE), using Cu Kα.
Intensities are scaled so that the largest is 100.

Peak list (8 most intense, 2θ from 10° to 90°, most intense first)
- 2θ 31.5, I = 100
- 2θ 39.2, I = 76
- 2θ 22.7, I = 72
- 2θ 21.5, I = 32
- 2θ 49.9, I = 28
- 2θ 28.1, I = 28
- 2θ 32.4, I = 26
- 2θ 40.1, I = 21

Crystal structure
```
data_Er2NiB10
_space_group_name_H-M_alt 'P 1'
_space_group_IT_number 1
_cell_length_a 5.5326
_cell_length_b 11.0506
_cell_length_c 4.1323
_cell_angle_alpha 90.00
_cell_angle_beta 90.00
_cell_angle_gamma 90.00
loop_
_space_group_symop_operation_xyz
'x,y,z'
loop_
_atom_site_label
_atom_site_type_symbol
_atom_site_fract_x
_atom_site_fract_y
_atom_site_fract_z
Er1 Er 0.1858 0.1373 0.0000
Er2 Er 0.3142 0.6373 0.0000
Er3 Er 0.6858 0.3627 0.0000
Er4 Er 0.8142 0.8627 0.0000
Ni1 Ni 0.0000 0.5000 0.5000
Ni2 Ni 0.5000 0.0000 0.5000
B1 B 0.0292 0.3133 0.5000
B2 B 0.1259 0.9592 0.5000
B3 B 0.1590 0.8015 0.5000
B4 B 0.2014 0.3857 0.1985
B5 B 0.2014 0.3857 0.8015
B6 B 0.2986 0.8857 0.1985
B7 B 0.2986 0.8857 0.8015
B8 B 0.3410 0.3015 0.5000
B9 B 0.3741 0.4592 0.5000
B10 B 0.4708 0.8133 0.5000
B11 B 0.5292 0.1867 0.5000
B12 B 0.6259 0.5408 0.5000
B13 B 0.6590 0.6985 0.5000
B14 B 0.7014 0.1143 0.1985
B15 B 0.7014 0.1143 0.8015
B16 B 0.7986 0.6143 0.1985
B17 B 0.7986 0.6143 0.8015
B18 B 0.8410 0.1985 0.5000
B19 B 0.8741 0.0408 0.5000
B20 B 0.9708 0.6867 0.5000
```

# 4
The following is a simulated powder XRD pattern of Er4NiB13. It was derived from a structure optimized by DFT (PBE), using Cu Kα.
Intensities are scaled so that the largest is 100.

Peak list (8 most intense, 2θ from 10° to 90°, most intense first)
- 2θ 38.2, I = 100
- 2θ 27.4, I = 97
- 2θ 26.1, I = 59
- 2θ 58.9, I = 40
- 2θ 24.5, I = 39
- 2θ 36.0, I = 39
- 2θ 51.8, I = 37
- 2θ 47.6, I = 28

Crystal structure
```
data_Er4NiB13
_space_group_name_H-M_alt 'P 1'
_space_group_IT_number 1
_cell_length_a 7.2791
_cell_length_b 7.2791
_cell_length_c 6.8409
_cell_angle_alpha 90.00
_cell_angle_beta 90.00
_cell_angle_gamma 90.00
loop_
_space_group_symop_operation_xyz
'x,y,z'
loop_
_atom_site_label
_atom_site_type_symbol
_atom_site_fract_x
_atom_site_fract_y
_atom_site_fract_z
Er1 Er 0.1801 0.3155 0.0000
Er2 Er 0.1845 0.3199 0.5000
Er3 Er 0.3155 0.8199 0.0000
Er4 Er 0.3199 0.8155 0.5000
Er5 Er 0.6801 0.1845 0.5000
Er6 Er 0.6845 0.1801 0.0000
Er7 Er 0.8155 0.6801 0.5000
Er8 Er 0.8199 0.6845 0.0000
Ni1 Ni 0.0000 0.0000 0.5000
Ni2 Ni 0.5000 0.5000 0.0000
B1 B 0.0000 0.0000 0.0000
B2 B 0.0399 0.8293 0.2433
B3 B 0.0399 0.8293 0.7567
B4 B 0.0920 0.5920 0.2500
B5 B 0.0920 0.5920 0.7500
B6 B 0.1707 0.0399 0.2433
B7 B 0.1707 0.0399 0.7567
B8 B 0.3293 0.5399 0.2567
B9 B 0.3293 0.5399 0.7433
B10 B 0.4080 0.0920 0.2500
B11 B 0.4080 0.0920 0.7500
B12 B 0.4601 0.3293 0.2567
B13 B 0.4601 0.3293 0.7433
B14 B 0.5000 0.5000 0.5000
B15 B 0.5399 0.6707 0.2567
B16 B 0.5399 0.6707 0.7433
B17 B 0.5920 0.9080 0.2500
B18 B 0.5920 0.9080 0.7500
B19 B 0.6707 0.4601 0.2567
B20 B 0.6707 0.4601 0.7433
B21 B 0.8293 0.9601 0.2433
B22 B 0.8293 0.9601 0.7567
B23 B 0.9080 0.4080 0.2500
B24 B 0.9080 0.4080 0.7500
B25 B 0.9601 0.1707 0.2433
B26 B 0.9601 0.1707 0.7567
```

# 5
The following is a simulated powder XRD pattern of ErBO3. It was derived from a structure optimized by DFT (PBE), using Cu Kα.
Intensities are scaled so that the largest is 100.

Peak list (8 most intense, 2θ from 10° to 90°, most intense first)
- 2θ 27.3, I = 100
- 2θ 34.1, I = 76
- 2θ 20.1, I = 62
- 2θ 34.3, I = 38
- 2θ 48.3, I = 34
- 2θ 52.7, I = 20
- 2θ 49.7, I = 18
- 2θ 49.9, I = 18

Crystal structure
```
data_ErBO3
_space_group_name_H-M_alt 'P 1'
_space_group_IT_number 1
_cell_length_a 6.5305
_cell_length_b 6.5305
_cell_length_c 9.5677
_cell_angle_alpha 109.58
_cell_angle_beta 109.58
_cell_angle_gamma 60.07
loop_
_space_group_symop_operation_xyz
'x,y,z'
loop_
_atom_site_label
_atom_site_type_symbol
_atom_site_fract_x
_atom_site_fract_y
_atom_site_fract_z
Er1 Er 0.0000 0.5000 0.0000
Er2 Er 0.1577 0.6706 0.5006
Er3 Er 0.3294 0.8423 0.9994
Er4 Er 0.5000 0.0000 0.5000
Er5 Er 0.6706 0.1577 0.0006
Er6 Er 0.8423 0.3294 0.4994
B1 B 0.1752 0.8248 0.2500
B2 B 0.3415 0.4179 0.7533
B3 B 0.4179 0.3415 0.2533
B4 B 0.5821 0.6585 0.7467
B5 B 0.6585 0.5821 0.2467
B6 B 0.8248 0.1752 0.7500
O1 O 0.0169 0.8858 0.1072
O2 O 0.1142 0.9831 0.3928
O3 O 0.1838 0.3699 0.6106
O4 O 0.1986 0.5833 0.2520
O5 O 0.2819 0.4665 0.8983
O6 O 0.3635 0.6365 0.7500
O7 O 0.3699 0.1838 0.1106
O8 O 0.4167 0.8014 0.2480
O9 O 0.4665 0.2819 0.3983
O10 O 0.5335 0.7181 0.6017
O11 O 0.5833 0.1986 0.7520
O12 O 0.6301 0.8162 0.8894
O13 O 0.6365 0.3635 0.2500
O14 O 0.7181 0.5335 0.1017
O15 O 0.8014 0.4167 0.7480
O16 O 0.8162 0.6301 0.3894
O17 O 0.8858 0.0169 0.6072
O18 O 0.9831 0.1142 0.8928
```

# 6
The following is a simulated powder XRD pattern of ErB2O4. It was derived from a structure optimized by DFT (PBE), using Cu Kα.
Intensities are scaled so that the largest is 100.

Peak list (8 most intense, 2θ from 10° to 90°, most intense first)
- 2θ 25.7, I = 100
- 2θ 26.7, I = 56
- 2θ 37.5, I = 40
- 2θ 18.8, I = 35
- 2θ 46.6, I = 31
- 2θ 54.6, I = 25
- 2θ 42.9, I = 21
- 2θ 63.7, I = 17

Crystal structure
```
data_ErB2O4
_space_group_name_H-M_alt 'P 1'
_space_group_IT_number 1
_cell_length_a 5.1308
_cell_length_b 5.1308
_cell_length_c 5.1308
_cell_angle_alpha 98.96
_cell_angle_beta 98.96
_cell_angle_gamma 133.51
loop_
_space_group_symop_operation_xyz
'x,y,z'
loop_
_atom_site_label
_atom_site_type_symbol
_atom_site_fract_x
_atom_site_fract_y
_atom_site_fract_z
Er1 Er 0.0000 0.0000 0.0000
B1 B 0.2500 0.7500 0.5000
B2 B 0.7500 0.2500 0.5000
O1 O 0.0014 0.6632 0.6646
O2 O 0.3368 0.0014 0.3381
O3 O 0.6632 0.9986 0.6619
O4 O 0.9986 0.3368 0.3354
```

# 7
The following is a simulated powder XRD pattern of Er2B4O9. It was derived from a structure optimized by DFT (PBE), using Cu Kα.
Intensities are scaled so that the largest is 100.

Peak list (8 most intense, 2θ from 10° to 90°, most intense first)
- 2θ 30.1, I = 100
- 2θ 28.9, I = 50
- 2θ 12.3, I = 47
- 2θ 23.4, I = 46
- 2θ 17.6, I = 46
- 2θ 29.5, I = 43
- 2θ 26.6, I = 39
- 2θ 32.0, I = 34

Crystal structure
```
data_Er2B4O9
_space_group_name_H-M_alt 'P 1'
_space_group_IT_number 1
_cell_length_a 6.1640
_cell_length_b 6.4218
_cell_length_c 7.4732
_cell_angle_alpha 102.44
_cell_angle_beta 97.26
_cell_angle_gamma 102.30
loop_
_space_group_symop_operation_xyz
'x,y,z'
loop_
_atom_site_label
_atom_site_type_symbol
_atom_site_fract_x
_atom_site_fract_y
_atom_site_fract_z
Er1 Er 0.0505 0.0894 0.2878
Er2 Er 0.3856 0.6750 0.3584
Er3 Er 0.6144 0.3250 0.6416
Er4 Er 0.9495 0.9106 0.7122
B1 B 0.1265 0.3567 0.6503
B2 B 0.1611 0.6828 0.9261
B3 B 0.2318 0.3335 0.9815
B4 B 0.4948 0.1441 0.1910
B5 B 0.5052 0.8559 0.8090
B6 B 0.7682 0.6665 0.0185
B7 B 0.8389 0.3172 0.0739
B8 B 0.8735 0.6433 0.3497
O1 O 0.0044 0.7917 0.0203
O2 O 0.0382 0.5376 0.7470
O3 O 0.0800 0.8177 0.4466
O4 O 0.2642 0.2628 0.7886
O5 O 0.2743 0.5723 0.0420
O6 O 0.2819 0.4047 0.5218
O7 O 0.3108 0.8692 0.8768
O8 O 0.3616 0.2829 0.1450
O9 O 0.4286 0.0405 0.3247
O10 O 0.5714 0.9595 0.6753
O11 O 0.6384 0.7171 0.8550
O12 O 0.6892 0.1308 0.1232
O13 O 0.7181 0.5953 0.4782
O14 O 0.7257 0.4277 0.9580
O15 O 0.7358 0.7372 0.2114
O16 O 0.9200 0.1823 0.5534
O17 O 0.9618 0.4624 0.2530
O18 O 0.9956 0.2083 0.9797
```

# 8
The following is a simulated powder XRD pattern of ErB2Pb2O6. It was derived from a structure optimized by DFT (PBE), using Cu Kα.
Intensities are scaled so that the largest is 100.

Peak list (8 most intense, 2θ from 10° to 90°, most intense first)
- 2θ 19.8, I = 100
- 2θ 23.2, I = 80
- 2θ 26.2, I = 79
- 2θ 29.7, I = 70
- 2θ 41.3, I = 57
- 2θ 33.6, I = 56
- 2θ 37.8, I = 54
- 2θ 33.7, I = 40

Crystal structure
```
data_ErB2Pb2O6
_space_group_name_H-M_alt 'P 1'
_space_group_IT_number 1
_cell_length_a 5.5391
_cell_length_b 5.5391
_cell_length_c 8.2412
_cell_angle_alpha 116.40
_cell_angle_beta 116.40
_cell_angle_gamma 57.34
loop_
_space_group_symop_operation_xyz
'x,y,z'
loop_
_atom_site_label
_atom_site_type_symbol
_atom_site_fract_x
_atom_site_fract_y
_atom_site_fract_z
Er1 Er 0.0000 0.0000 0.0000
B1 B 0.3911 0.3911 0.1862
B2 B 0.6089 0.6089 0.8138
Pb1 Pb 0.1746 0.1746 0.7037
Pb2 Pb 0.8254 0.8254 0.2963
O1 O 0.2267 0.6827 0.1749
O2 O 0.2630 0.2630 0.2165
O3 O 0.3173 0.7733 0.8251
O4 O 0.6827 0.2267 0.1749
O5 O 0.7370 0.7370 0.7835
O6 O 0.7733 0.3173 0.8251
```